(1)
Theoretical XRD peak list of LiVPO5 for Cu Kα (λ = 1.5418 Å), from a crystal structure in the Materials Project, relaxed with GGA+U.
Peak positions follow from Bragg's law for the DFT cell and can differ from measured ones.

Unit cell a=9.1977 b=6.3305 c=6.3299 alpha=90.00 beta=90.00 gamma=90.00
Space group Pna2_1 (No. 33)
Symmetry-distinct sites (fractional):
Li (0.2421, 0.0131, 0.0000) x4
V (0.0387, 0.7533, 0.2643) x4
P (0.0000, 0.2514, 0.2633) x4
O (0.0983, 0.4500, 0.2759) x4
O (0.0989, 0.7645, 0.9613) x4
O (0.1012, 0.0554, 0.2495) x4
O (0.1007, 0.7380, 0.5667) x4
O (0.1378, 0.2404, 0.7714) x4

Peak list (12 most intense, 2θ from 5° to 70°, in order of falling intensity)
d [Å], I (rel.), index
4.599, 100.0, 2 0 0
3.165, 92.9, 0 0 2
2.607, 66.8, 2 0 2
3.721, 23.2, 2 1 0
2.161, 20.9, 4 1 0
1.583, 18.1, 0 0 4
1.604, 16.0, 4 2 2
1.918, 15.1, 2 3 0
1.348, 13.8, 6 1 2
1.353, 12.8, 2 4 2
2.012, 12.6, 2 2 2
2.411, 12.4, 2 1 2

=====

(2)
Theoretical XRD peak list of CaCr2P2O9 for Cu Kα (λ = 1.5418 Å), from a crystal structure in the Materials Project, relaxed with GGA+U.
Peak positions follow from Bragg's law for the DFT cell and can differ from measured ones.

Unit cell a=14.3188 b=6.4463 c=7.4474 alpha=90.00 beta=90.00 gamma=90.00
Space group Pnma (No. 62)
Symmetry-distinct sites (fractional):
Ca (0.2204, 0.2500, 0.1077) x4
Cr (0.0000, 0.0000, 0.0000) x4
Cr (0.1217, 0.2500, 0.6490) x4
P (0.0655, 0.7500, 0.6397) x4
P (0.1911, 0.7500, 0.1088) x4
O (0.0081, 0.2500, 0.5031) x4
O (0.0171, 0.7500, 0.8303) x4
O (0.0561, 0.2500, 0.8757) x4
O (0.1296, 0.5522, 0.1040) x8
O (0.1329, 0.5620, 0.6328) x8
O (0.2338, 0.2500, 0.4569) x4
O (0.2479, 0.2500, 0.7825) x4

Peak list (12 most intense, 2θ from 5° to 70°, in order of falling intensity)
d [Å], I (rel.), index
3.604, 100.0, 1 0 2
3.224, 58.3, 0 2 0
2.897, 36.6, 1 2 1
5.161, 33.8, 2 0 1
2.673, 27.6, 5 0 1
2.938, 24.9, 2 2 0
1.621, 20.8, 5 2 3
6.607, 20.3, 1 0 1
2.514, 18.5, 3 2 1
2.280, 18.0, 4 2 1
1.612, 16.6, 0 4 0
2.885, 15.9, 4 1 1

=====

(3)
Theoretical XRD peak list of MnO2 for Cu Kα (λ = 1.5418 Å), from a crystal structure in the Materials Project, relaxed with GGA+U.
Peak positions follow from Bragg's law for the DFT cell and can differ from measured ones.

Unit cell a=2.9311 b=2.9311 c=4.6979 alpha=90.00 beta=90.00 gamma=120.00
Space group P-3m1 (No. 164)
Symmetry-distinct sites (fractional):
Mn (0.0000, 0.0000, 0.0000) x1
O (0.3333, 0.6667, 0.7955) x2

Peak list (8 most intense, 2θ from 5° to 70°, in order of falling intensity)
d [Å], I (rel.), index
4.698, 100.0, 0 0 1
2.233, 60.6, 1 0 1
1.724, 36.8, 1 0 2
2.538, 20.7, 1 0 0
1.466, 14.6, 1 1 0
1.399, 14.2, 1 1 1
2.349, 2.9, 0 0 2
1.566, 1.1, 0 0 3

=====

(4)
Theoretical XRD peak list of MgSi2WO6 for Cu Kα (λ = 1.5418 Å), from a crystal structure in the Materials Project, relaxed with GGA+U.
Peak positions follow from Bragg's law for the DFT cell and can differ from measured ones.

Unit cell a=10.2730 b=8.8747 c=4.8810 alpha=90.00 beta=100.57 gamma=90.00
Space group C2/c (No. 15)
Symmetry-distinct sites (fractional):
Mg (0.0000, 0.2318, 0.2500) x4
Si (0.1858, 0.0924, 0.7984) x8
W (0.0000, 0.4334, 0.7500) x4
O (0.1146, 0.2357, 0.6356) x8
O (0.1339, 0.0614, 0.1018) x8
O (0.1527, 0.4031, 0.1375) x8

Peak list (12 most intense, 2θ from 5° to 70°, in order of falling intensity)
d [Å], I (rel.), index
6.666, 100.0, 1 1 0
3.147, 42.5, 3 1 0
5.049, 35.5, 2 0 0
2.500, 29.7, 1 3 -1
2.907, 24.2, 2 2 -1
2.594, 20.5, 2 2 1
4.437, 17.1, 0 2 0
2.116, 16.4, 3 3 -1
2.399, 15.0, 0 0 2
2.089, 13.7, 3 1 -2
1.425, 12.9, 1 3 -3
1.506, 12.1, 5 3 1

=====

(5)
Theoretical XRD peak list of NaCaCeFeO6 for Cu Kα (λ = 1.5418 Å), from a crystal structure in the Materials Project, relaxed with GGA+U.
Peak positions follow from Bragg's law for the DFT cell and can differ from measured ones.

Unit cell a=8.1245 b=8.1245 c=8.1245 alpha=90.00 beta=90.00 gamma=90.00
Space group F-43m (No. 216)
Symmetry-distinct sites (fractional):
Na (0.0000, 0.0000, 0.0000) x4
Ca (0.0000, 0.0000, 0.5000) x4
Ce (0.2500, 0.2500, 0.2500) x4
Fe (0.2500, 0.2500, 0.7500) x4
O (0.0170, 0.2500, 0.7500) x24

Peak list (12 most intense, 2θ from 5° to 70°, in order of falling intensity)
d [Å], I (rel.), index
2.872, 100.0, 2 2 0
4.062, 63.2, 2 0 0
2.031, 42.0, 4 0 0
1.658, 37.8, 4 2 2
1.817, 24.5, 4 2 0
1.436, 23.7, 4 4 0
4.691, 20.2, 1 1 1
2.450, 17.1, 3 1 1
1.354, 11.0, 6 0 0
1.864, 10.1, 3 3 1
1.564, 4.9, 3 3 3
1.373, 4.7, 5 3 1

=====

(6)
Theoretical XRD peak list of V3O5F for Cu Kα (λ = 1.5418 Å), from a crystal structure in the Materials Project, relaxed with GGA+U.
Peak positions follow from Bragg's law for the DFT cell and can differ from measured ones.

Unit cell a=4.5719 b=4.5755 c=10.3160 alpha=90.00 beta=116.26 gamma=90.00
Space group Pc (No. 7)
Symmetry-distinct sites (fractional):
V (0.0000, 0.2177, 0.0000) x2
V (0.2889, 0.2497, 0.3257) x2
V (0.6419, 0.2486, 0.6798) x2
O (0.2746, 0.0556, 0.5012) x2
O (0.3336, 0.4550, 0.1587) x2
O (0.6112, 0.0542, 0.8355) x2
O (0.9208, 0.0433, 0.1589) x2
O (0.9970, 0.4407, 0.8360) x2
F (0.6724, 0.4544, 0.4997) x2

Peak list (12 most intense, 2θ from 5° to 70°, in order of falling intensity)
d [Å], I (rel.), index
3.234, 100.0, 1 1 -1
1.705, 58.7, 2 1 1
2.557, 54.0, 1 0 2
2.232, 22.7, 1 1 2
1.367, 20.3, 3 0 0
1.617, 17.8, 2 2 -2
1.392, 11.2, 1 1 5
1.542, 9.7, 0 0 6
2.287, 6.2, 2 0 -2
2.045, 5.8, 1 2 -1
1.447, 4.4, 1 3 -1
1.446, 4.1, 3 1 -3

=====

(7)
Theoretical XRD peak list of Cs2Cr4CdH4O16 for Cu Kα (λ = 1.5418 Å), from a crystal structure in the Materials Project, relaxed with GGA+U.
Peak positions follow from Bragg's law for the DFT cell and can differ from measured ones.

Unit cell a=7.7098 b=8.1332 c=8.1714 alpha=91.15 beta=116.90 gamma=98.54
Space group P-1 (No. 2)
Symmetry-distinct sites (fractional):
Cs (0.2325, 0.3276, 0.2595) x2
Cr (0.2153, 0.3452, 0.7703) x2
Cr (0.2365, 0.8251, 0.5018) x2
Cd (0.5000, 0.0000, 0.0000) x1
H (0.2620, 0.6942, 0.9920) x2
H (0.3126, 0.7884, 0.1825) x2
O (0.0041, 0.2844, 0.5500) x2
O (0.1680, 0.4847, 0.8859) x2
O (0.2170, 0.0079, 0.4301) x2
O (0.2670, 0.1818, 0.8895) x2
O (0.2802, 0.8072, 0.0524) x2
O (0.3281, 0.7222, 0.3937) x2
O (0.3813, 0.8395, 0.7269) x2
O (0.3962, 0.4243, 0.7309) x2

Peak list (12 most intense, 2θ from 5° to 70°, in order of falling intensity)
d [Å], I (rel.), index
3.626, 100.0, -1 1 2
3.747, 87.3, 1 -2 0
4.769, 50.1, 1 1 0
3.384, 41.7, 2 0 0
4.950, 41.3, 1 1 -1
3.186, 35.2, 0 1 2
2.695, 35.0, 1 -1 2
3.202, 34.1, -2 1 2
3.431, 33.1, 0 1 -2
3.657, 30.8, -2 1 1
3.365, 26.8, 2 0 -2
2.255, 24.9, 0 3 -2

=====

(8)
Theoretical XRD peak list of Ho2FeAs2O for Cu Kα (λ = 1.5418 Å), from a crystal structure in the Materials Project, relaxed with GGA+U.
Peak positions follow from Bragg's law for the DFT cell and can differ from measured ones.

Unit cell a=3.2128 b=3.2128 c=14.9062 alpha=90.00 beta=90.00 gamma=90.00
Space group P4/mmm (No. 123)
Symmetry-distinct sites (fractional):
Ho (0.0000, 0.0000, 0.1343) x2
Fe (0.0000, 0.0000, 0.5000) x1
As (0.0000, 0.0000, 0.3343) x2
O (0.0000, 0.0000, 0.0000) x1

Peak list (12 most intense, 2θ from 5° to 70°, in order of falling intensity)
d [Å], I (rel.), index
3.213, 100.0, 1 0 0
14.906, 40.7, 0 0 1
2.272, 38.1, 1 1 0
2.433, 31.2, 1 0 4
3.727, 23.7, 0 0 4
1.965, 18.5, 1 0 6
1.437, 17.4, 2 1 0
1.940, 16.2, 1 1 4
2.185, 16.1, 1 0 5
1.606, 12.7, 2 0 0
1.677, 11.0, 1 1 6
4.969, 10.6, 0 0 3